PdC4Br4N2: calculated XRD peak list (a wavelength of 1.5418 Å), based on a DFT-relaxed cell (PBE, Alexandria).
Intensities are scaled so that the largest is 100.

Top 10 peaks for 2θ = 10–90°, low angle first:
(2 0 0), 11.52 deg, rel. 100; (0 0 2), 14.76 deg, rel. 98; (1 1 1), 15.38 deg, rel. 89; (1 1 2), 20.04 deg, rel. 67; (1 1 3), 26.08 deg, rel. 38; (0 2 2), 28.72 deg, rel. 55; (5 1 1), 32.50 deg, rel. 33; (6 0 0), 35.04 deg, rel. 33; (0 2 4), 38.94 deg, rel. 47; (6 2 4), 53.36 deg, rel. 33

Cell and atoms:
```
data_PdC4Br4N2
_chemical_formula_sum 'Pd4 C16 Br16 N8'
_cell_length_a 15.3654
_cell_length_b 7.2668
_cell_length_c 12.0012
_cell_angle_alpha 90.00
_cell_angle_beta 90.00
_cell_angle_gamma 90.00
_space_group_name_H-M_alt 'C m c e'
_space_group_IT_number 64
_space_group_name_Hall '-C 2ac 2'
loop_
_atom_site_label
_atom_site_fract_x
_atom_site_fract_y
_atom_site_fract_z
_atom_site_occupancy
Pd1 0.0000 0.0000 0.0000 1
C1 0.1104 0.0387 0.3986 1
Br1 0.0000 0.2419 0.8607 1
Br2 0.1596 0.0000 0.0000 1
N1 0.0994 0.0000 0.5000 1
```